Theoretical X-ray powder pattern of Nd4Al3Cd for Cu Kα, 1.54184 Å, from a cell relaxed with GGA-PBE.
Neutral-atom scattering factors, no anomalous dispersion.

Most intense lines, 2θ from 10° to 90°, sorted by position:
2theta, I_rel
23.91, 48
29.02, 21
31.25, 100
32.17, 59
34.92, 42
37.62, 18
38.52, 27
48.04, 15
51.03, 32
60.75, 17

Structural model:
Lattice parameters (Å, degrees): 3.788 4.674 12.303 90.00 90.00 90.00
Space group Pmm2 (No. 25)
Unique sites:
Nd1 0.000 0.000 0.000 (multiplicity 1)
Nd2 0.000 0.500 0.304 (multiplicity 1)
Nd3 0.500 0.000 0.492 (multiplicity 1)
Nd4 0.500 0.500 0.811 (multiplicity 1)
Al1 0.000 0.500 0.583 (multiplicity 1)
Al2 0.500 0.000 0.216 (multiplicity 1)
Al3 0.500 0.500 0.088 (multiplicity 1)
Cd1 0.000 0.000 0.716 (multiplicity 1)

***

Theoretical X-ray powder pattern of Nd3Al2Cd7 for Cu Kα, 1.54184 Å, from a cell relaxed with GGA-PBE.
Neutral-atom scattering factors, no anomalous dispersion.

Most intense lines, 2θ from 10° to 90°, sorted by position:
2theta, I_rel
28.16, 43
30.80, 46
34.82, 63
35.27, 28
35.66, 100
38.30, 32
38.52, 22
56.89, 25
58.24, 24
62.13, 31

Structural model:
Lattice parameters (Å, degrees): 5.9762 5.9762 28.0488 90.00 90.00 120.00
Space group R-3m (No. 166, hexagonal axes)
Unique sites:
Nd1 0.0000 0.0000 0.0000 (multiplicity 3)
Nd2 0.0000 0.0000 0.1426 (multiplicity 6)
Al1 0.0000 0.0000 0.3346 (multiplicity 6)
Cd1 0.0000 0.0000 0.5000 (multiplicity 3)
Cd2 0.0059 0.5029 0.9190 (multiplicity 18)